1.
SrMgCuAu: calculated powder XRD pattern (Cu Kα (λ = 1.5418 Å)), based on the PBE geometry in Alexandria.

Structural model:
Cell lengths 5.0610, 5.0610, 5.0610 Å; angles 60.00, 60.00, 60.00 degrees
Positions (direct):
Sr1 0.0000 0.0000 0.0000
Mg1 0.5000 0.5000 0.5000
Cu1 0.7500 0.7500 0.7500
Au1 0.2500 0.2500 0.2500

Most intense lines, 2θ from 10° to 90°, in order of falling intensity:
35.5°, I = 100
63.7°, I = 36
21.5°, I = 32
24.9°, I = 20
41.9°, I = 18
51.0°, I = 18

2.
BaCuAuF6: calculated powder XRD pattern (Cu Kα (λ = 1.5418 Å)), based on the PBE geometry in Alexandria.

Structural model:
Cell lengths 4.7704, 5.8625, 5.9110 Å; angles 110.14, 93.97, 93.89 degrees
Positions (direct):
Ba1 0.0000 0.0000 0.0000
Cu1 0.3847 0.3256 0.6716
Au1 0.4122 0.6635 0.3371
F1 0.1246 0.0415 0.5944
F2 0.1547 0.5728 0.9955
F3 0.1719 0.3808 0.4045
F4 0.5725 0.2372 0.9163
F5 0.5734 0.9642 0.2597
F6 0.6181 0.6268 0.6828

Most intense lines, 2θ from 10° to 90°, in order of falling intensity:
23.6°, I = 100
26.4°, I = 70
26.6°, I = 69
26.0°, I = 68
30.8°, I = 62
18.7°, I = 43

3.
Pu4ZrP5: calculated powder XRD pattern (Cu Kα (λ = 1.5418 Å)), based on the PBE geometry in Alexandria.

Structural model:
Cell lengths 6.8230, 6.8230, 6.8230 Å; angles 99.62, 99.62, 131.75 degrees
Positions (direct):
Pu1 0.0980 0.2996 0.3976
Pu2 0.2996 0.9020 0.2016
Pu3 0.7004 0.0980 0.7984
Pu4 0.9020 0.7004 0.6024
Zr1 0.5000 0.5000 0.0000
P1 0.0000 0.0000 0.0000
P2 0.2078 0.5978 0.8056
P3 0.4022 0.2078 0.6100
P4 0.5978 0.7922 0.3900
P5 0.7922 0.4022 0.1944

Most intense lines, 2θ from 10° to 90°, in order of falling intensity:
27.7°, I = 100
32.1°, I = 95
46.1°, I = 71
54.6°, I = 49
76.4°, I = 32
85.3°, I = 25

4.
CaHg4Pb7: calculated powder XRD pattern (Cu Kα (λ = 1.5418 Å)), based on the PBE geometry in Alexandria.

Structural model:
Cell lengths 7.4735, 7.4735, 10.1366 Å; angles 119.36, 119.36, 50.67 degrees
Positions (direct):
Ca1 0.0000 0.0000 0.0000
Hg1 0.2537 0.2537 0.6786
Hg2 0.4970 0.4970 0.6678
Hg3 0.5030 0.5030 0.3322
Hg4 0.7463 0.7463 0.3214
Pb1 0.0085 0.0085 0.3481
Pb2 0.2635 0.2635 0.0203
Pb3 0.2648 0.2648 0.3530
Pb4 0.5000 0.5000 0.0000
Pb5 0.7352 0.7352 0.6470
Pb6 0.7365 0.7365 0.9797
Pb7 0.9915 0.9915 0.6519

Most intense lines, 2θ from 10° to 90°, in order of falling intensity:
31.5°, I = 100
42.6°, I = 89
27.9°, I = 73
30.1°, I = 60
41.5°, I = 51
62.2°, I = 30

Repeat the fourth record exactly.
CaHg4Pb7: calculated powder XRD pattern (Cu Kα (λ = 1.5418 Å)), based on the PBE geometry in Alexandria.

Structural model:
Cell lengths 7.4735, 7.4735, 10.1366 Å; angles 119.36, 119.36, 50.67 degrees
Positions (direct):
Ca1 0.0000 0.0000 0.0000
Hg1 0.2537 0.2537 0.6786
Hg2 0.4970 0.4970 0.6678
Hg3 0.5030 0.5030 0.3322
Hg4 0.7463 0.7463 0.3214
Pb1 0.0085 0.0085 0.3481
Pb2 0.2635 0.2635 0.0203
Pb3 0.2648 0.2648 0.3530
Pb4 0.5000 0.5000 0.0000
Pb5 0.7352 0.7352 0.6470
Pb6 0.7365 0.7365 0.9797
Pb7 0.9915 0.9915 0.6519

Most intense lines, 2θ from 10° to 90°, in order of falling intensity:
31.5°, I = 100
42.6°, I = 89
27.9°, I = 73
30.1°, I = 60
41.5°, I = 51
62.2°, I = 30

Copy entry 2 word for word.
BaCuAuF6: calculated powder XRD pattern (Cu Kα (λ = 1.5418 Å)), based on the PBE geometry in Alexandria.

Structural model:
Cell lengths 4.7704, 5.8625, 5.9110 Å; angles 110.14, 93.97, 93.89 degrees
Positions (direct):
Ba1 0.0000 0.0000 0.0000
Cu1 0.3847 0.3256 0.6716
Au1 0.4122 0.6635 0.3371
F1 0.1246 0.0415 0.5944
F2 0.1547 0.5728 0.9955
F3 0.1719 0.3808 0.4045
F4 0.5725 0.2372 0.9163
F5 0.5734 0.9642 0.2597
F6 0.6181 0.6268 0.6828

Most intense lines, 2θ from 10° to 90°, in order of falling intensity:
23.6°, I = 100
26.4°, I = 70
26.6°, I = 69
26.0°, I = 68
30.8°, I = 62
18.7°, I = 43